[1]
AcTb3Pm6Pr2: simulated X-ray powder pattern (Cu Kα, 1.54184 Å), based on a DFT-relaxed cell (GGA-PBE, Alexandria).
No peak broadening, texture or thermal motion is included.

Principal peaks in the range 5 to 70 degrees two-theta, in order of rising 2θ:
2θ = 29.80°, d 2.998, rel. 100; 2θ = 29.86°, d 2.992, rel. 33; 2θ = 34.57°, d 2.595, rel. 67; 2θ = 49.69°, d 1.835, rel. 48; 2θ = 59.03°, d 1.565, rel. 53; 2θ = 59.11°, d 1.563, rel. 5; 2θ = 61.91°, d 1.499, rel. 13; 2θ = 62.04°, d 1.496, rel. 4

Crystal structure
```
12
Lattice="3.1800 -5.5089 0.0000 3.1800 5.5089 0.0000 -2.1281 0.0000 11.9679" Properties=species:S:1:pos:R:3 pbc="T T T"
Ac 0.0000 0.0000 0.0000
Tb 2.1159 3.6690 5.9840
Tb 2.1159 0.0000 5.9840
Tb 2.1159 -3.6690 5.9840
Pm 1.0673 1.8467 3.0694
Pm 0.0029 0.0000 8.8950
Pm 1.0673 -1.8467 3.0694
Pm 3.1646 1.8467 8.8985
Pm 4.2290 0.0000 3.0729
Pm 3.1646 -1.8467 8.8985
Pr 3.1800 1.8354 0.0000
Pr 3.1800 -1.8354 0.0000
```

=====

[2]
Na3Tm3AlS8: simulated X-ray powder pattern (Cu Kα, 1.54184 Å), based on a DFT-relaxed cell (GGA-PBE, Alexandria).
No peak broadening, texture or thermal motion is included.

Principal peaks in the range 5 to 70 degrees two-theta, in order of rising 2θ:
2θ = 13.06°, d 6.778, rel. 100; 2θ = 15.94°, d 5.559, rel. 18; 2θ = 27.22°, d 3.276, rel. 37; 2θ = 28.28°, d 3.156, rel. 21; 2θ = 32.21°, d 2.779, rel. 94; 2θ = 41.30°, d 2.186, rel. 22; 2θ = 44.92°, d 2.018, rel. 33; 2θ = 47.44°, d 1.917, rel. 31; 2θ = 49.42°, d 1.844, rel. 21; 2θ = 58.50°, d 1.578, rel. 16

Crystal structure
```
15
Lattice="3.8332 2.2131 6.7775 -3.8332 2.2131 6.7775 0.0000 -4.4261 6.7775" Properties=species:S:1:pos:R:3 pbc="T T T"
Na -1.9166 -1.1065 6.7775
Na -1.9166 1.1065 13.5550
Na 0.0000 2.2131 6.7775
Tm -3.8332 0.0000 10.1663
Tm -1.9166 1.1065 3.3888
Tm 1.9166 1.1065 3.3888
Al 0.0000 0.0000 10.1663
S 0.0000 0.0000 4.9164
S -1.7740 -1.0242 11.5800
S 0.0000 -2.0485 8.7525
S -1.7740 1.0242 8.7525
S 1.7740 -1.0242 11.5800
S 0.0000 2.0485 11.5800
S 1.7740 1.0242 8.7525
S 0.0000 0.0000 15.4162
```

=====

[3]
Cu6Rh: simulated X-ray powder pattern (Cu Kα, 1.54184 Å), based on a DFT-relaxed cell (GGA-PBE, Alexandria).
No peak broadening, texture or thermal motion is included.

Principal peaks in the range 5 to 70 degrees two-theta, in order of rising 2θ:
2θ = 15.03°, d 5.893, rel. 1; 2θ = 25.46°, d 3.498, rel. 1; 2θ = 26.94°, d 3.309, rel. 1; 2θ = 32.24°, d 2.777, rel. 1; 2θ = 35.75°, d 2.512, rel. 1; 2θ = 43.93°, d 2.061, rel. 100; 2θ = 48.45°, d 1.879, rel. 1; 2θ = 63.87°, d 1.457, rel. 15

Crystal structure
```
7
Lattice="2.0605 1.1896 5.8932 -2.0605 1.1896 5.8932 0.0000 -2.3792 5.8932" Properties=species:S:1:pos:R:3 pbc="T T T"
Cu 0.0000 0.0000 1.2947
Cu 0.0000 0.0000 3.8616
Cu 0.0000 0.0000 6.2944
Cu 0.0000 0.0000 11.3851
Cu 0.0000 0.0000 13.8179
Cu 0.0000 0.0000 16.3849
Rh 0.0000 0.0000 8.8398
```

=====

[4]
TiH3Rh3: simulated X-ray powder pattern (Cu Kα, 1.54184 Å), based on a DFT-relaxed cell (GGA-PBE, Alexandria).
No peak broadening, texture or thermal motion is included.

Principal peaks in the range 5 to 70 degrees two-theta, in order of rising 2θ:
2θ = 17.57°, d 5.049, rel. 28; 2θ = 35.56°, d 2.524, rel. 41; 2θ = 37.19°, d 2.417, rel. 100; 2θ = 37.39°, d 2.405, rel. 15; 2θ = 42.51°, d 2.126, rel. 78; 2θ = 45.14°, d 2.009, rel. 53; 2θ = 45.63°, d 1.988, rel. 19; 2θ = 46.65°, d 1.947, rel. 16; 2θ = 58.61°, d 1.575, rel. 10; 2θ = 59.29°, d 1.559, rel. 20

Crystal structure
```
14
Lattice="3.3156 1.9143 3.5319 -3.3156 1.9143 3.5319 0.0000 -3.8285 3.5319" Properties=species:S:1:pos:R:3 pbc="T T T"
Ti 0.0000 0.0000 2.0085
Ti 0.0000 0.0000 8.5874
H -1.0748 -2.1546 4.5775
H -2.4034 -0.1465 6.0183
H -1.3285 2.0081 4.5775
H 1.3285 -2.0081 6.0183
H 2.4034 0.1465 4.5775
H 1.0748 2.1546 6.0183
Rh -1.6171 0.2229 4.1954
Rh -1.0016 -1.2890 6.4004
Rh 0.6155 -1.5119 4.1954
Rh -0.6155 1.5119 6.4004
Rh 1.0016 1.2890 4.1954
Rh 1.6171 -0.2229 6.4004
```

=====

[5]
MgBeB2: simulated X-ray powder pattern (Cu Kα, 1.54184 Å), based on a DFT-relaxed cell (GGA-PBE, Alexandria).
No peak broadening, texture or thermal motion is included.

Principal peaks in the range 5 to 70 degrees two-theta, in order of rising 2θ:
2θ = 27.45°, d 3.249, rel. 13; 2θ = 32.45°, d 2.759, rel. 77; 2θ = 38.16°, d 2.358, rel. 100; 2θ = 43.01°, d 2.103, rel. 32; 2θ = 51.03°, d 1.790, rel. 21; 2θ = 53.08°, d 1.725, rel. 7; 2θ = 55.86°, d 1.646, rel. 33; 2θ = 56.66°, d 1.624, rel. 15; 2θ = 58.06°, d 1.589, rel. 24; 2θ = 58.92°, d 1.568, rel. 26

Crystal structure
```
16
Lattice="3.5793 0.0000 0.0000 0.0000 3.5793 0.0000 0.0000 0.0000 12.9959" Properties=species:S:1:pos:R:3 pbc="T T T"
Mg 0.0000 0.8948 4.8735
Mg 0.0000 2.6845 8.1224
Mg 1.7897 0.8948 1.6245
Mg 1.7897 2.6845 11.3714
Be 0.0000 0.8948 11.3714
Be 0.0000 2.6845 1.6245
Be 1.7897 0.8948 8.1224
Be 1.7897 2.6845 4.8735
B 0.0000 0.0000 0.0000
B 0.0000 1.7897 0.0000
B 0.8948 0.8948 9.7469
B 0.8948 2.6845 3.2490
B 1.7897 0.0000 6.4979
B 1.7897 1.7897 6.4979
B 2.6845 0.8948 9.7469
B 2.6845 2.6845 3.2490
```

=====

[6]
YTlReO6: simulated X-ray powder pattern (Cu Kα, 1.54184 Å), based on a DFT-relaxed cell (GGA-PBE, Alexandria).
No peak broadening, texture or thermal motion is included.

Principal peaks in the range 5 to 70 degrees two-theta, in order of rising 2θ:
2θ = 18.26°, d 4.858, rel. 10; 2θ = 25.65°, d 3.473, rel. 100; 2θ = 31.90°, d 2.805, rel. 43; 2θ = 36.17°, d 2.483, rel. 8; 2θ = 41.38°, d 2.182, rel. 27; 2θ = 48.99°, d 1.859, rel. 37; 2θ = 53.18°, d 1.722, rel. 27; 2θ = 56.85°, d 1.619, rel. 13; 2θ = 58.94°, d 1.567, rel. 10; 2θ = 69.26°, d 1.357, rel. 9

Crystal structure
```
9
Lattice="5.6101 0.0000 0.0000 -2.8050 4.8585 0.0000 0.0000 0.0000 4.9667" Properties=species:S:1:pos:R:3 pbc="T T T"
Y 0.0000 0.0000 0.0000
Tl 2.8050 1.6195 2.4834
Re 0.0000 3.2390 0.0000
O -0.7190 1.8361 1.0805
O -1.5744 3.3177 3.8862
O 0.7190 1.8361 3.8862
O -0.8554 4.5631 1.0805
O 1.5744 3.3177 1.0805
O 0.8554 4.5631 3.8862
```

=====

[7]
LaNdY: simulated X-ray powder pattern (Cu Kα, 1.54184 Å), based on a DFT-relaxed cell (GGA-PBE, Alexandria).
No peak broadening, texture or thermal motion is included.

Principal peaks in the range 5 to 70 degrees two-theta, in order of rising 2θ:
2θ = 15.23°, d 5.819, rel. 5; 2θ = 24.95°, d 3.569, rel. 3; 2θ = 30.73°, d 2.910, rel. 98; 2θ = 30.83°, d 2.900, rel. 100; 2θ = 40.06°, d 2.251, rel. 5; 2θ = 44.09°, d 2.054, rel. 36; 2θ = 51.19°, d 1.785, rel. 8; 2θ = 54.79°, d 1.676, rel. 57; 2θ = 60.96°, d 1.520, rel. 28; 2θ = 64.24°, d 1.450, rel. 12

Crystal structure
```
12
Lattice="7.1385 0.0000 0.0000 0.0000 10.0461 0.0000 0.0000 0.0000 5.7999" Properties=species:S:1:pos:R:3 pbc="T T T"
La 1.7846 1.7746 0.0000
La 1.7846 3.2484 2.9000
La 5.3539 6.7977 2.9000
La 5.3539 8.2715 0.0000
Nd 0.0000 0.0000 2.8872
Nd 0.0000 5.0231 5.7872
Nd 3.5692 0.0000 2.8872
Nd 3.5692 5.0231 5.7872
Y 1.7846 6.6569 2.8821
Y 1.7846 8.4122 5.7820
Y 5.3539 1.6339 5.7820
Y 5.3539 3.3892 2.8821
```

=====

[8]
Nd6ThMg: simulated X-ray powder pattern (Cu Kα, 1.54184 Å), based on a DFT-relaxed cell (GGA-PBE, Alexandria).
No peak broadening, texture or thermal motion is included.

Principal peaks in the range 5 to 70 degrees two-theta, in order of rising 2θ:
2θ = 8.71°, d 10.154, rel. 13; 2θ = 19.41°, d 4.573, rel. 9; 2θ = 30.31°, d 2.948, rel. 100; 2θ = 35.04°, d 2.561, rel. 34; 2θ = 35.36°, d 2.538, rel. 17; 2θ = 50.39°, d 1.811, rel. 12; 2θ = 50.63°, d 1.803, rel. 24; 2θ = 59.95°, d 1.543, rel. 29; 2θ = 60.37°, d 1.533, rel. 14; 2θ = 63.06°, d 1.474, rel. 12

Crystal structure
```
8
Lattice="5.1219 0.0000 0.0000 0.0000 5.1219 0.0000 0.0000 0.0000 10.1539" Properties=species:S:1:pos:R:3 pbc="T T T"
Nd 0.0000 0.0000 0.0000
Nd 0.0000 0.0000 5.0770
Nd 0.0000 2.5610 2.5331
Nd 0.0000 2.5610 7.6209
Nd 2.5610 0.0000 2.5331
Nd 2.5610 0.0000 7.6209
Th 2.5610 2.5610 0.0000
Mg 2.5610 2.5610 5.0770
```